Structure and computed PXRD pattern of Pu3GaHg (a cell relaxed with PBE; a wavelength of 1.5418 Å).
Neutral-atom scattering factors, no anomalous dispersion.

Largest 8 diffraction maxima, in order of rising 2θ, 5° ≤ 2θ ≤ 70°:
2θ/deg, I_rel, (hkl)
32.14, 23, 2 0 2
33.57, 19, 2 2 1
34.07, 100, 1 2 2
35.26, 73, 1 3 0
36.69, 20, 1 0 3
42.55, 22, 1 3 2
47.03, 19, 2 3 2
60.20, 19, 3 1 4

Structure:
a = 8.042 Å, b = 8.056 Å, c = 7.715 Å
α = 90.00°, β = 90.00°, γ = 90.00°
Fractional positions:
Pu 0.000 0.000 0.250
Pu 0.000 0.000 0.750
Pu 0.129 0.370 0.206
Pu 0.129 0.370 0.794
Pu 0.371 0.870 0.294
Pu 0.371 0.870 0.706
Pu 0.500 0.500 0.250
Pu 0.500 0.500 0.750
Pu 0.629 0.130 0.294
Pu 0.629 0.130 0.706
Pu 0.871 0.630 0.206
Pu 0.871 0.630 0.794
Ga 0.196 0.694 0.000
Ga 0.304 0.194 0.500
Ga 0.696 0.806 0.500
Ga 0.804 0.306 0.000
Hg 0.141 0.640 0.500
Hg 0.359 0.140 0.000
Hg 0.641 0.860 0.000
Hg 0.859 0.360 0.500

---

Structure and computed PXRD pattern of NdThGeOs (a cell relaxed with PBE; a wavelength of 1.5418 Å).
Neutral-atom scattering factors, no anomalous dispersion.

Largest 8 diffraction maxima, in order of rising 2θ, 5° ≤ 2θ ≤ 70°:
2θ/deg, I_rel, (hkl)
15.19, 33, 0 0 2
30.66, 33, 0 0 4
31.46, 29, 0 1 3
31.85, 100, 1 1 1
38.11, 18, 1 0 4
38.78, 68, 1 1 3
43.42, 23, 0 2 0
45.07, 21, 2 0 0

Structure:
a = 4.023 Å, b = 4.168 Å, c = 11.665 Å
α = 90.00°, β = 90.00°, γ = 90.00°
Fractional positions:
Nd 0.000 0.000 0.000
Nd 0.000 0.500 0.500
Th 0.500 0.000 0.275
Th 0.500 0.500 0.775
Ge 0.500 0.000 0.576
Ge 0.500 0.500 0.076
Os 0.000 0.000 0.729
Os 0.000 0.500 0.229

---

- Number 1 is which compound?
  Pu3GaHg

---

- Which formula does entry 2 have?
  NdThGeOs